This entry pairs a crystal structure of Rb2ZnCrBr6 with its calculated X-ray powder pattern. Radiation: copper Kα. Structure: a structure optimized by DFT (GGA-PBE).
Peak positions follow from Bragg's law for the DFT cell and can differ from measured ones.

Structural model:
```
Rb2ZnCrBr6
1.0
-3.766 3.766 5.313
3.766 -3.766 5.313
3.766 3.766 -5.313
Rb Zn Cr Br
2 1 1 6
Direct
0.250 0.750 0.500
0.750 0.250 0.500
0.000 0.000 0.000
0.500 0.500 0.000
0.250 0.250 0.000
0.253 0.253 0.506
0.253 0.747 0.000
0.747 0.253 0.000
0.747 0.747 0.494
0.750 0.750 0.000
```

Peak list (10 most intense, 2θ = 10–90°, in order of rising 2θ)
two_theta  d_spacing  intensity
16.7  5.321  13.1
23.6  3.763  14.6
29.1  3.072  92.3
33.7  2.661  100.0
48.4  1.881  69.7
57.4  1.605  26.1
57.5  1.603  13.0
60.2  1.536  23.6
78.3  1.221  16.2
80.7  1.191  20.3